# 1
Calculated powder XRD pattern
Compound: TaTc2Ir
Radiation: Cu Kα X-rays
Structure: DFT lattice parameters and positions (GGA-PBE)

Structural model:
Cell lengths 2.811, 3.886, 5.651 Å; angles 90.00, 90.00, 90.00 degrees
Space group Pmm2 (No. 25)
Asymmetric unit:
Ta 0.000 0.000 0.000 (multiplicity 1)
Tc 0.000 0.000 0.493 (multiplicity 1)
Tc 0.500 0.500 0.275 (multiplicity 1)
Ir 0.500 0.500 0.753 (multiplicity 1)

Largest 12 diffraction maxima, low angle first, 2θ from 15° to 90°:
index, Position (°2θ), I_rel
0 0 1, 15.68, 16
0 1 1, 27.86, 13
0 1 2, 39.43, 99
1 1 0, 39.57, 100
1 0 2, 45.52, 66
0 2 0, 46.75, 31
2 0 0, 66.53, 11
1 2 2, 67.30, 41
1 1 4, 79.90, 24
2 1 2, 80.17, 25
1 3 0, 81.84, 24
2 2 0, 85.21, 11

# 2
Calculated powder XRD pattern
Compound: Tb2Y3Ag3
Radiation: Cu Kα X-rays
Structure: DFT lattice parameters and positions (GGA-PBE)

Structural model:
Cell lengths 3.688, 5.262, 21.580 Å; angles 90.00, 90.00, 90.00 degrees
Space group Immm (No. 71)
Asymmetric unit:
Tb 0.000 0.000 0.231 (multiplicity 4)
Y 0.000 0.000 0.000 (multiplicity 2)
Y 0.000 0.500 0.120 (multiplicity 4)
Ag 0.000 0.000 0.500 (multiplicity 2)
Ag 0.000 0.500 0.383 (multiplicity 4)

Largest 12 diffraction maxima, low angle first, 2θ from 15° to 90°:
index, Position (°2θ), I_rel
0 1 3, 20.92, 4
0 0 8, 33.21, 16
0 1 7, 33.69, 3
0 2 0, 34.03, 100
0 2 8, 48.32, 11
2 0 0, 49.42, 7
1 1 12, 59.86, 7
2 0 8, 60.84, 6
1 3 4, 60.96, 14
2 2 0, 61.39, 7
2 2 8, 71.61, 6
3 1 4, 82.54, 6

What did the second record say?
Calculated powder XRD pattern
Compound: Tb2Y3Ag3
Radiation: Cu Kα X-rays
Structure: DFT lattice parameters and positions (GGA-PBE)

Structural model:
Cell lengths 3.688, 5.262, 21.580 Å; angles 90.00, 90.00, 90.00 degrees
Space group Immm (No. 71)
Asymmetric unit:
Tb 0.000 0.000 0.231 (multiplicity 4)
Y 0.000 0.000 0.000 (multiplicity 2)
Y 0.000 0.500 0.120 (multiplicity 4)
Ag 0.000 0.000 0.500 (multiplicity 2)
Ag 0.000 0.500 0.383 (multiplicity 4)

Largest 12 diffraction maxima, low angle first, 2θ from 15° to 90°:
index, Position (°2θ), I_rel
0 1 3, 20.92, 4
0 0 8, 33.21, 16
0 1 7, 33.69, 3
0 2 0, 34.03, 100
0 2 8, 48.32, 11
2 0 0, 49.42, 7
1 1 12, 59.86, 7
2 0 8, 60.84, 6
1 3 4, 60.96, 14
2 2 0, 61.39, 7
2 2 8, 71.61, 6
3 1 4, 82.54, 6

Repeat the second record exactly.
Calculated powder XRD pattern
Compound: Tb2Y3Ag3
Radiation: Cu Kα X-rays
Structure: DFT lattice parameters and positions (GGA-PBE)

Structural model:
Cell lengths 3.688, 5.262, 21.580 Å; angles 90.00, 90.00, 90.00 degrees
Space group Immm (No. 71)
Asymmetric unit:
Tb 0.000 0.000 0.231 (multiplicity 4)
Y 0.000 0.000 0.000 (multiplicity 2)
Y 0.000 0.500 0.120 (multiplicity 4)
Ag 0.000 0.000 0.500 (multiplicity 2)
Ag 0.000 0.500 0.383 (multiplicity 4)

Largest 12 diffraction maxima, low angle first, 2θ from 15° to 90°:
index, Position (°2θ), I_rel
0 1 3, 20.92, 4
0 0 8, 33.21, 16
0 1 7, 33.69, 3
0 2 0, 34.03, 100
0 2 8, 48.32, 11
2 0 0, 49.42, 7
1 1 12, 59.86, 7
2 0 8, 60.84, 6
1 3 4, 60.96, 14
2 2 0, 61.39, 7
2 2 8, 71.61, 6
3 1 4, 82.54, 6